The following is a simulated powder diffraction line list of Y2MnCoO6. It was derived from a crystal structure in Alexandria, relaxed with GGA+U, using Cu Kα X-rays.
Lines closer than 0.1° are merged.

Structural model:
Cell lengths 5.2958, 5.6355, 9.2327 Å; angles 90.00, 124.63, 90.00 degrees
Fractional positions:
Y  0.2287  0.0721  0.2490
Y  0.2287  0.4279  0.7490
Y  0.7713  0.5721  0.2510
Y  0.7713  0.9279  0.7510
Mn  0.5000  0.0000  0.0000
Mn  0.5000  0.5000  0.5000
Co  0.0000  0.0000  0.5000
Co  0.0000  0.5000  0.0000
O  0.1488  0.1879  0.9469
O  0.1488  0.3121  0.4469
O  0.2584  0.7072  0.9415
O  0.2584  0.7928  0.4415
O  0.3673  0.0382  0.7572
O  0.3673  0.4618  0.2572
O  0.6327  0.5382  0.7428
O  0.6327  0.9618  0.2428
O  0.7416  0.2072  0.5585
O  0.7416  0.2928  0.0585
O  0.8512  0.6879  0.5531
O  0.8512  0.8121  0.0531

Most intense lines, 10° ≤ 2θ ≤ 90°, in order of rising 2θ:
d (Å)  I/Imax
3.441  37
2.818  39
2.713  100
2.701  99
2.646  66
1.930  41
1.899  31
1.724  31
1.543  24
1.537  38